(1)
This entry pairs a crystal structure of K2ReCl5O with its simulated powder diffraction line list. Radiation: Cu Kα X-rays. Structure: the PBE geometry in OQMD.

Most intense lines, 2θ = 10–80°, by intensity:
d [Å]  2θ (°)  Rel. int.
5.555  16.0  100
5.666  15.6  96
3.462  25.7  43
4.785  18.5  40
2.508  35.8  38
2.718  33.0  34

Structural model:
abc: 13.3428 10.0331 6.8664
angles: 90.00 90.00 90.00
Fractional positions:
1 K 0.1395 0.0012 0.1804
2 K 0.1395 0.4988 0.1804
3 K 0.3605 0.5012 0.6804
4 K 0.3605 0.9988 0.6804
5 K 0.6395 0.0012 0.3196
6 K 0.6395 0.4988 0.3196
7 K 0.8605 0.5012 0.8196
8 K 0.8605 0.9988 0.8196
9 Re 0.0980 0.7500 0.6766
10 Re 0.4020 0.2500 0.1766
11 Re 0.5980 0.7500 0.8234
12 Re 0.9020 0.2500 0.3234
13 Cl 0.0025 0.7500 0.9730
14 Cl 0.1105 0.5123 0.6944
15 Cl 0.1105 0.9877 0.6944
16 Cl 0.2239 0.7500 0.4295
17 Cl 0.2461 0.7500 0.9039
18 Cl 0.2539 0.2500 0.4039
19 Cl 0.2761 0.2500 0.9295
20 Cl 0.3895 0.0123 0.1944
21 Cl 0.3895 0.4877 0.1944
22 Cl 0.4975 0.2500 0.4730
23 Cl 0.5025 0.7500 0.5270
24 Cl 0.6105 0.5123 0.8056
25 Cl 0.6105 0.9877 0.8056
26 Cl 0.7239 0.7500 0.0705
27 Cl 0.7461 0.7500 0.5961
28 Cl 0.7539 0.2500 0.0961
29 Cl 0.7761 0.2500 0.5705
30 Cl 0.8895 0.0123 0.3056
31 Cl 0.8895 0.4877 0.3056
32 Cl 0.9975 0.2500 0.0270
33 O 0.0022 0.2500 0.4754
34 O 0.4978 0.7500 0.9754
35 O 0.5022 0.2500 0.0246
36 O 0.9978 0.7500 0.5246

---

(2)
This entry pairs a crystal structure of SrTmSi2 with its simulated powder diffraction line list. Radiation: Cu Kα X-rays. Structure: the PBE geometry in OQMD.

Most intense lines, 2θ = 10–80°, by intensity:
d [Å]  2θ (°)  Rel. int.
2.825  31.7  100
2.844  31.5  58
3.183  28.0  57
2.294  39.3  41
4.118  21.6  37
2.780  32.2  29

Structural model:
abc: 3.8830 5.9853 5.9853
angles: 43.47 90.00 90.00
Fractional positions:
1 Sr 0.0000 0.0000 0.0000
2 Tm 0.5000 0.7197 0.7197
3 Si 0.0000 0.2770 0.2770
4 Si 0.5000 0.4145 0.4145

---

(3)
This entry pairs a crystal structure of B4Os with its simulated powder diffraction line list. Radiation: Cu Kα X-rays. Structure: the PBE geometry in OQMD.

Most intense lines, 2θ = 10–80°, by intensity:
d [Å]  2θ (°)  Rel. int.
4.009  22.2  100
2.225  40.5  87
2.674  33.5  86
2.659  33.7  81
3.553  25.1  66
1.666  55.1  48

Structural model:
abc: 2.8868 7.1052 4.0092
angles: 90.00 90.00 90.00
Fractional positions:
1 B 0.2500 0.0479 0.1920
2 B 0.2500 0.4521 0.1920
3 B 0.2500 0.5962 0.5157
4 B 0.2500 0.9038 0.5157
5 B 0.7500 0.0962 0.4843
6 B 0.7500 0.4038 0.4843
7 B 0.7500 0.5479 0.8080
8 B 0.7500 0.9521 0.8080
9 Os 0.2500 0.7500 0.0053
10 Os 0.7500 0.2500 0.9947

---

(4)
This entry pairs a crystal structure of Li2AgO4 with its simulated powder diffraction line list. Radiation: Cu Kα X-rays. Structure: the PBE geometry in OQMD.

Most intense lines, 2θ = 10–80°, by intensity:
d [Å]  2θ (°)  Rel. int.
2.953  30.3  100
4.822  18.4  76
2.518  35.7  67
1.705  53.8  36
1.916  47.4  31
1.607  57.3  26

Structural model:
abc: 5.9061 5.9061 5.9061
angles: 60.00 60.00 60.00
Fractional positions:
1 Li 0.0000 0.0000 0.0000
2 Li 0.0000 0.0000 0.5000
3 Li 0.0000 0.5000 0.0000
4 Li 0.5000 0.0000 0.0000
5 Ag 0.3750 0.3750 0.3750
6 Ag 0.6250 0.6250 0.6250
7 O 0.2160 0.7613 0.7613
8 O 0.2387 0.2387 0.2387
9 O 0.2387 0.2387 0.7840
10 O 0.2387 0.7840 0.2387
11 O 0.7613 0.2160 0.7613
12 O 0.7613 0.7613 0.2160
13 O 0.7613 0.7613 0.7613
14 O 0.7840 0.2387 0.2387

---

(5)
This entry pairs a crystal structure of BaGeTe2Au2S2 with its simulated powder diffraction line list. Radiation: Cu Kα X-rays. Structure: the PBE geometry in OQMD.

Most intense lines, 2θ = 10–80°, by intensity:
d [Å]  2θ (°)  Rel. int.
3.352  26.6  100
2.699  33.2  69
3.305  27.0  40
2.607  34.4  39
2.244  40.2  32
4.222  21.0  30

Structural model:
abc: 6.8339 6.8339 6.8222
angles: 118.49 118.49 77.39
Fractional positions:
1 Ba 0.0000 0.0000 0.0000
2 Ge 0.5314 0.4686 0.0000
3 Te 0.1544 0.4660 0.6214
4 Te 0.5340 0.8456 0.3786
5 Au 0.3271 0.6729 0.5000
6 Au 0.6805 0.3195 0.5000
7 S 0.5344 0.1685 0.0620
8 S 0.8315 0.4656 0.9380

---

(6)
This entry pairs a crystal structure of CdB2H8 with its simulated powder diffraction line list. Radiation: Cu Kα X-rays. Structure: the PBE geometry in OQMD.

Most intense lines, 2θ = 10–80°, by intensity:
d [Å]  2θ (°)  Rel. int.
4.141  21.5  100
2.388  37.7  32
2.397  37.5  16
1.848  49.3  15
2.073  43.7  13
2.921  30.6  10

Structural model:
abc: 5.8424 5.8424 5.8854
angles: 90.00 90.00 90.00
Fractional positions:
1 Cd 0.0000 0.0000 0.0000
2 Cd 0.5000 0.5000 0.5000
3 B 0.2330 0.2330 0.7340
4 B 0.2670 0.7330 0.2340
5 B 0.7330 0.2670 0.2340
6 B 0.7670 0.7670 0.7340
7 H 0.0490 0.3075 0.8053
8 H 0.1277 0.8723 0.3094
9 H 0.1925 0.5490 0.3053
10 H 0.2101 0.2101 0.5305
11 H 0.2899 0.7101 0.0305
12 H 0.3075 0.0490 0.8053
13 H 0.3723 0.3723 0.8094
14 H 0.4510 0.8075 0.3053
15 H 0.5490 0.1925 0.3053
16 H 0.6277 0.6277 0.8094
17 H 0.6925 0.9510 0.8053
18 H 0.7101 0.2899 0.0305
19 H 0.7899 0.7899 0.5305
20 H 0.8075 0.4510 0.3053
21 H 0.8723 0.1277 0.3094
22 H 0.9510 0.6925 0.8053